# Li8TlCd2
Theoretical powder X-ray diffraction pattern, Cu Ka. Input: DFT lattice parameters and positions (GGA-PBE).
Peak positions follow from Bragg's law for the DFT cell and can differ from measured ones.

Peak list (10 most intense, 2θ from 10° to 80°, low angle first)
2θ/deg, d_spacing, I (rel.)
17.42, 5.090, 53
20.25, 4.386, 80
23.47, 3.791, 51
25.09, 3.550, 100
26.68, 3.341, 52
31.96, 2.800, 28
37.11, 2.423, 52
37.42, 2.403, 52
38.31, 2.350, 27
40.79, 2.212, 26

Atomic structure:
```
Li8TlCd2
1.0
7.671 -2.226 0.000
7.671 2.226 0.000
-0.920 0.000 5.986
Li Tl Cd
8 1 2
direct
0.044 0.044 0.236 Li
0.140 0.140 0.678 Li
0.320 0.320 0.592 Li
0.406 0.406 0.044 Li
0.594 0.594 0.956 Li
0.680 0.680 0.408 Li
0.860 0.860 0.322 Li
0.956 0.956 0.764 Li
0.500 0.500 0.500 Tl
0.222 0.222 0.145 Cd
0.778 0.778 0.855 Cd
```